Entry 1:
Starting from a structure optimized by DFT (PBE), the powder XRD pattern of Ag9HgAu2 was calculated for Cu Kα (weighted mean of Kα1 and Kα2).
Kinematic intensities with the Lorentz-polarization factor, no thermal factor.

Unit cell a=4.1697 b=4.1697 c=12.5971 alpha=90.00 beta=90.00 gamma=90.00
Space group P4/mmm (No. 123)
Unique sites:
Ag1 0.0000 0.0000 0.0000 [1 per cell]
Ag2 0.0000 0.0000 0.3354 [2 per cell]
Ag3 0.0000 0.5000 0.1720 [4 per cell]
Ag4 0.0000 0.5000 0.5000 [2 per cell]
Hg1 0.5000 0.5000 0.0000 [1 per cell]
Au1 0.5000 0.5000 0.3366 [2 per cell]

Largest 10 diffraction maxima, in order of rising 2θ, 10 to 90 degrees two-theta:
2θ/deg	I/Imax	h k l
21.3	5	1 0 0
30.2	4	1 0 3
37.3	100	1 1 3
43.1	16	0 0 6
43.4	32	2 0 0
62.8	21	2 0 6
63.1	10	2 2 0
75.1	12	1 1 9
75.6	24	3 1 3
79.4	11	2 2 6

=====

Entry 2:
Starting from a structure optimized by DFT (PBE), the powder XRD pattern of Sr3Ag2Hg4Au2 was calculated for Cu Kα (weighted mean of Kα1 and Kα2).
Kinematic intensities with the Lorentz-polarization factor, no thermal factor.

Unit cell a=4.9698 b=4.9698 c=14.2751 alpha=90.00 beta=90.00 gamma=120.00
Space group P-3m1 (No. 164)
Unique sites:
Sr1 0.0000 0.0000 0.0000 [1 per cell]
Sr2 0.0000 0.0000 0.2751 [2 per cell]
Ag1 0.3333 0.6667 0.6148 [2 per cell]
Hg1 0.3333 0.6667 0.4115 [2 per cell]
Hg2 0.3333 0.6667 0.8540 [2 per cell]
Au1 0.3333 0.6667 0.1332 [2 per cell]

Largest 10 diffraction maxima, in order of rising 2θ, 10 to 90 degrees two-theta:
2θ/deg	I/Imax	h k l
20.6	28	1 0 0
25.0	28	0 0 4
28.0	34	0 1 3
32.6	65	1 0 4
36.1	100	1 1 0
44.4	47	0 0 7
49.5	24	0 2 4
58.6	26	1 1 7
62.8	22	2 1 4
65.0	18	3 0 0

=====

Entry 3:
Starting from a structure optimized by DFT (PBE), the powder XRD pattern of Zn2Ag3HgAu3 was calculated for Cu Kα (weighted mean of Kα1 and Kα2).
Kinematic intensities with the Lorentz-polarization factor, no thermal factor.

Unit cell a=7.8880 b=7.8880 c=2.9530 alpha=90.00 beta=90.00 gamma=120.00
Space group P-62m (No. 189)
Unique sites:
Zn1 0.3333 0.6667 0.0000 [2 per cell]
Ag1 0.0000 0.6864 0.0000 [3 per cell]
Hg1 0.0000 0.0000 0.5000 [1 per cell]
Au1 0.0000 0.3735 0.5000 [3 per cell]

Largest 10 diffraction maxima, in order of rising 2θ, 10 to 90 degrees two-theta:
2θ/deg	I/Imax	h k l
26.1	17	2 0 0
34.7	17	2 1 0
38.1	100	1 1 1
39.6	100	3 0 0
40.4	37	2 0 1
46.7	19	2 1 1
56.1	25	2 2 1
67.7	26	3 2 1
70.8	16	4 1 1
76.9	43	3 0 2

=====

Entry 4:
Starting from a structure optimized by DFT (PBE), the powder XRD pattern of Ho6Ag5Au was calculated for Cu Kα (weighted mean of Kα1 and Kα2).
Kinematic intensities with the Lorentz-polarization factor, no thermal factor.

Unit cell a=5.1283 b=15.3954 c=7.1685 alpha=90.00 beta=90.00 gamma=90.00
Space group Cmmm (No. 65)
Unique sites:
Ho1 0.0000 0.0000 0.2465 [4 per cell]
Ho2 0.0000 0.3352 0.2492 [8 per cell]
Ag1 0.0000 0.1665 0.5000 [4 per cell]
Ag2 0.0000 0.1712 0.0000 [4 per cell]
Ag3 0.0000 0.5000 0.5000 [2 per cell]
Au1 0.0000 0.5000 0.0000 [2 per cell]

Largest 10 diffraction maxima, in order of rising 2θ, 10 to 90 degrees two-theta:
2θ/deg	I/Imax	h k l
35.0	51	2 0 0
35.2	100	1 3 2
50.3	18	2 6 0
51.0	9	0 0 4
62.9	36	3 3 2
63.3	18	2 0 4
74.4	11	2 6 4
84.5	8	4 6 0
84.6	8	3 9 2
85.6	8	1 3 6

=====

Entry 5:
Starting from a structure optimized by DFT (PBE), the powder XRD pattern of HoAg8Au5 was calculated for Cu Kα (weighted mean of Kα1 and Kα2).
Kinematic intensities with the Lorentz-polarization factor, no thermal factor.

Unit cell a=8.0147 b=8.0147 c=8.6506 alpha=90.00 beta=90.00 gamma=90.00
Space group I-4 (No. 82)
Unique sites:
Ho1 0.0000 0.0000 0.0000 [2 per cell]
Ag1 0.0686 0.8362 0.3516 [8 per cell]
Ag2 0.0985 0.6513 0.9821 [8 per cell]
Au1 0.0000 0.5000 0.2500 [2 per cell]
Au2 0.1444 0.7161 0.6693 [8 per cell]

Largest 10 diffraction maxima, in order of rising 2θ, 10 to 90 degrees two-theta:
2θ/deg	I/Imax	h k l
25.9	22	1 1 2
26.9	35	2 1 1
33.0	52	1 0 3
35.2	100	3 0 1
35.4	48	3 1 0
40.1	95	1 2 3
41.3	46	3 1 2
42.0	56	2 3 1
44.9	18	1 1 4
62.9	19	5 1 2

=====

Entry 6:
Starting from a structure optimized by DFT (PBE), the powder XRD pattern of HoAg2Au2 was calculated for Cu Kα (weighted mean of Kα1 and Kα2).
Kinematic intensities with the Lorentz-polarization factor, no thermal factor.

Unit cell a=9.4908 b=4.2282 c=6.7580 alpha=90.00 beta=134.09 gamma=90.00
Space group C2/m (No. 12)
Unique sites:
Ho1 0.0000 0.0000 0.0000 [2 per cell]
Ag1 0.1939 0.0000 0.5961 [4 per cell]
Au1 0.0951 0.5000 0.7975 [4 per cell]

Largest 10 diffraction maxima, in order of rising 2θ, 10 to 90 degrees two-theta:
2θ/deg	I/Imax	h k l
36.3	100	1 1 -2
36.6	97	3 1 -1
41.6	34	2 0 1
42.6	32	4 0 -3
42.8	32	0 2 0
61.2	22	2 2 1
61.9	21	4 2 -3
72.3	13	1 1 3
72.9	13	5 1 0
74.3	13	3 3 -1